The following is a theoretical X-ray powder pattern of Li5Ti3Mn2P6O24. It was derived from a DFT-relaxed cell (GGA+U, the Materials Project), using Cu Kα, 1.54184 Å.

Top 10 peaks for 2θ from 10° to 90°, low angle first:
2θ 19.8, 4.479 Å, intensity 94
2θ 23.6, 3.771 Å, intensity 100
2θ 23.8, 3.745 Å, intensity 99
2θ 23.9, 3.730 Å, intensity 98
2θ 30.8, 2.903 Å, intensity 56
2θ 32.7, 2.737 Å, intensity 55
2θ 32.9, 2.719 Å, intensity 51
2θ 33.1, 2.706 Å, intensity 50
2θ 34.7, 2.586 Å, intensity 85
2θ 54.2, 1.694 Å, intensity 32

a = 8.530 Å, b = 8.608 Å, c = 8.611 Å
α = 62.62°, β = 63.04°, γ = 63.09°
Space group P1 (No. 1)
Asymmetric unit:
Li1 0.000 0.000 0.000 (multiplicity 1)
Li2 0.012 0.352 0.829 (multiplicity 1)
Li3 0.097 0.839 0.523 (multiplicity 1)
Li4 0.187 0.340 0.473 (multiplicity 1)
Li5 0.659 0.527 0.813 (multiplicity 1)
Ti1 0.206 0.541 0.017 (multiplicity 1)
Ti2 0.499 0.839 0.308 (multiplicity 1)
Ti3 0.705 0.051 0.518 (multiplicity 1)
Mn1 0.368 0.695 0.160 (multiplicity 1)
Mn2 0.845 0.203 0.668 (multiplicity 1)
P1 0.099 0.141 0.215 (multiplicity 1)
P2 0.303 0.939 0.707 (multiplicity 1)
P3 0.403 0.438 0.614 (multiplicity 1)
P4 0.600 0.237 0.121 (multiplicity 1)
P5 0.803 0.743 0.911 (multiplicity 1)
P6 0.903 0.651 0.412 (multiplicity 1)
O1 0.038 0.165 0.064 (multiplicity 1)
O2 0.098 0.619 0.261 (multiplicity 1)
O3 0.115 0.096 0.722 (multiplicity 1)
O4 0.163 0.300 0.180 (multiplicity 1)
O5 0.248 0.377 0.641 (multiplicity 1)
O6 0.252 0.946 0.247 (multiplicity 1)
O7 0.285 0.788 0.903 (multiplicity 1)
O8 0.331 0.869 0.558 (multiplicity 1)
O9 0.367 0.499 0.775 (multiplicity 1)
O10 0.415 0.604 0.428 (multiplicity 1)
O11 0.451 0.435 0.094 (multiplicity 1)
O12 0.468 0.999 0.662 (multiplicity 1)
O13 0.520 0.087 0.171 (multiplicity 1)
O14 0.596 0.287 0.595 (multiplicity 1)
O15 0.613 0.775 0.066 (multiplicity 1)
O16 0.667 0.201 0.275 (multiplicity 1)
O17 0.743 0.709 0.342 (multiplicity 1)
O18 0.754 0.246 0.932 (multiplicity 1)
O19 0.804 0.930 0.748 (multiplicity 1)
O20 0.824 0.591 0.854 (multiplicity 1)
O21 0.885 0.803 0.473 (multiplicity 1)
O22 0.905 0.463 0.568 (multiplicity 1)
O23 0.950 0.119 0.413 (multiplicity 1)
O24 0.965 0.702 0.976 (multiplicity 1)